# 1
Diffraction record for LaGeOs. The PXRD pattern is simulated, not measured: it uses a structure optimized by DFT (GGA-PBE) and CuKα.

Most intense lines, 2θ from 10° to 90°, low angle first:
2θ 22.8, I 471, (1 1 1)
2θ 26.4, I 124, (2 0 0)
2θ 37.7, I 1000, (2 2 0)
2θ 44.6, I 246, (3 1 1)
2θ 54.4, I 174, (4 0 0)
2θ 59.8, I 104, (3 3 1)
2θ 68.1, I 353, (4 2 2)
2θ 72.9, I 77, (5 1 1)
2θ 80.6, I 111, (4 4 0)
2θ 85.1, I 79, (5 3 1)

Crystal structure
```
data_LaGeOs
_cell_length_a 6.7452
_cell_length_b 6.7452
_cell_length_c 6.7452
_cell_angle_alpha 90.00
_cell_angle_beta 90.00
_cell_angle_gamma 90.00
_symmetry_space_group_name_H-M 'F -4 3 m'
_symmetry_Int_Tables_number 216
_symmetry_space_group_name_Hall 'F -4 2 3'
loop_
_atom_site_label
_atom_site_fract_x
_atom_site_fract_y
_atom_site_fract_z
La1 0.0000 0.0000 0.0000
Ge1 0.2500 0.2500 0.2500
Os1 0.2500 0.2500 0.7500
```

# 2
Diffraction record for GdV2Fe10N. The PXRD pattern is simulated, not measured: it uses a structure optimized by DFT (GGA-PBE) and CuKα.

Most intense lines, 2θ from 10° to 90°, low angle first:
2θ 30.0, I 365, (1 2 1)
2θ 36.7, I 214, (1 0 3)
2θ 36.8, I 204, (1 3 0)
2θ 37.8, I 179, (2 0 0)
2θ 42.1, I 360, (0 0 4)
2θ 42.4, I 316, (0 4 0)
2θ 42.6, I 1000, (1 3 2)
2θ 43.5, I 784, (2 0 2)
2θ 48.7, I 241, (2 2 2)
2θ 71.6, I 199, (3 3 2)

Crystal structure
```
data_GdV2Fe10N
_cell_length_a 4.7567
_cell_length_b 8.5268
_cell_length_c 8.5784
_cell_angle_alpha 90.00
_cell_angle_beta 90.00
_cell_angle_gamma 90.00
_symmetry_space_group_name_H-M 'I m m m'
_symmetry_Int_Tables_number 71
_symmetry_space_group_name_Hall '-I 2 2'
loop_
_atom_site_label
_atom_site_fract_x
_atom_site_fract_y
_atom_site_fract_z
Gd1 0.0000 0.0000 0.0000
V1 0.0000 0.0000 0.3588
Fe1 0.0000 0.2751 0.5000
Fe2 0.0000 0.3600 0.0000
Fe3 0.0000 0.5000 0.2761
Fe4 0.2500 0.2500 0.2500
N1 0.0000 0.5000 0.5000
```

# 3
Diffraction record for YN. The PXRD pattern is simulated, not measured: it uses a structure optimized by DFT (GGA-PBE) and CuKα.

Most intense lines, 2θ from 10° to 90°, low angle first:
2θ 29.2, I 299, (0 0 1)
2θ 30.7, I 960, (1 0 0)
2θ 42.8, I 1000, (1 0 1)
2θ 54.5, I 263, (1 1 0)
2θ 63.0, I 208, (1 1 1)
2θ 63.9, I 114, (2 0 0)
2θ 69.3, I 178, (1 0 2)
2θ 71.7, I 199, (2 0 1)
2θ 85.8, I 134, (1 1 2)
2θ 88.8, I 93, (2 1 0)

Crystal structure
```
data_YN
_cell_length_a 3.3656
_cell_length_b 3.3656
_cell_length_c 3.0634
_cell_angle_alpha 90.00
_cell_angle_beta 90.00
_cell_angle_gamma 120.00
_symmetry_space_group_name_H-M 'P -6 m 2'
_symmetry_Int_Tables_number 187
_symmetry_space_group_name_Hall 'P -6 2'
loop_
_atom_site_label
_atom_site_fract_x
_atom_site_fract_y
_atom_site_fract_z
Y1 0.0000 0.0000 0.0000
N1 0.3333 0.6667 0.5000
```

# 4
Diffraction record for NaMnP. The PXRD pattern is simulated, not measured: it uses a structure optimized by DFT (GGA-PBE) and CuKα.

Most intense lines, 2θ from 10° to 90°, low angle first:
2θ 12.7, I 1000, (0 0 1)
2θ 35.0, I 227, (1 0 2)
2θ 36.1, I 376, (1 1 1)
2θ 42.7, I 433, (1 1 2)
2θ 48.4, I 259, (2 0 0)
2θ 50.2, I 100, (2 0 1)
2θ 52.2, I 125, (1 1 3)
2θ 61.1, I 79, (2 1 2)
2θ 63.7, I 99, (1 1 4)
2θ 86.4, I 99, (3 1 2)

Crystal structure
```
data_NaMnP
_cell_length_a 3.7612
_cell_length_b 3.7612
_cell_length_c 6.9897
_cell_angle_alpha 90.00
_cell_angle_beta 90.00
_cell_angle_gamma 90.00
_symmetry_space_group_name_H-M 'P 4/n m m'
_symmetry_Int_Tables_number 129
loop_
_symmetry_equiv_pos_as_xyz
'x,y,z'
'-x,-y,-z'
'-y+1/2,x,z'
'y+1/2,-x,-z'
'-x+1/2,-y+1/2,z'
'x+1/2,y+1/2,-z'
'y,-x+1/2,z'
'-y,x+1/2,-z'
'x+1/2,-y,-z'
'-x+1/2,y,z'
'-y,-x,-z'
'y,x,z'
'-x,y+1/2,-z'
'x,-y+1/2,z'
'y+1/2,x+1/2,-z'
'-y+1/2,-x+1/2,z'
loop_
_atom_site_label
_atom_site_fract_x
_atom_site_fract_y
_atom_site_fract_z
Na1 0.2500 0.2500 0.1414
Mn1 0.2500 0.7500 0.5000
P1 0.2500 0.2500 0.6902
```

# 5
Diffraction record for CaF3. The PXRD pattern is simulated, not measured: it uses a structure optimized by DFT (GGA-PBE) and CuKα.

Most intense lines, 2θ from 10° to 90°, low angle first:
2θ 27.2, I 196, (1 0 1)
2θ 27.7, I 47, (0 0 2)
2θ 33.4, I 57, (1 1 0)
2θ 43.9, I 1000, (1 1 2)
2θ 47.9, I 370, (2 0 0)
2θ 56.0, I 53, (2 1 1)
2θ 57.2, I 98, (0 0 4)
2θ 70.1, I 92, (2 2 0)
2θ 77.7, I 129, (2 0 4)
2θ 86.5, I 186, (3 1 2)

Crystal structure
```
data_CaF3
_cell_length_a 3.7988
_cell_length_b 3.7988
_cell_length_c 6.4454
_cell_angle_alpha 90.00
_cell_angle_beta 90.00
_cell_angle_gamma 90.00
_symmetry_space_group_name_H-M 'I 4/m m m'
_symmetry_Int_Tables_number 139
_symmetry_space_group_name_Hall '-I 4 2'
loop_
_atom_site_label
_atom_site_fract_x
_atom_site_fract_y
_atom_site_fract_z
Ca1 0.0000 0.0000 0.0000
F1 0.0000 0.0000 0.5000
F2 0.0000 0.5000 0.2500
```

# 6
Diffraction record for Hf2SiS2. The PXRD pattern is simulated, not measured: it uses a structure optimized by DFT (GGA-PBE) and CuKα.

Most intense lines, 2θ from 10° to 90°, low angle first:
2θ 12.7, I 1000, (0 0 2)
2θ 19.2, I 248, (0 0 3)
2θ 30.5, I 807, (1 0 0)
2θ 32.2, I 306, (0 0 5)
2θ 33.2, I 427, (1 0 2)
2θ 36.3, I 220, (1 0 3)
2θ 43.6, I 297, (1 1 0)
2θ 44.9, I 483, (1 0 5)
2θ 45.7, I 239, (0 0 7)
2θ 55.3, I 262, (1 1 5)

Crystal structure
```
data_Hf2SiS2
_cell_length_a 2.9327
_cell_length_b 2.9327
_cell_length_c 13.8886
_cell_angle_alpha 90.00
_cell_angle_beta 90.00
_cell_angle_gamma 90.00
_symmetry_space_group_name_H-M 'P 4/m m m'
_symmetry_Int_Tables_number 123
_symmetry_space_group_name_Hall '-P 4 2'
loop_
_atom_site_label
_atom_site_fract_x
_atom_site_fract_y
_atom_site_fract_z
Hf1 0.0000 0.0000 0.1992
Si1 0.0000 0.0000 0.0000
S1 0.0000 0.0000 0.3699
```

# 7
Diffraction record for Nd4Ni. The PXRD pattern is simulated, not measured: it uses a structure optimized by DFT (GGA-PBE) and CuKα.

Most intense lines, 2θ from 10° to 90°, low angle first:
2θ 28.1, I 1000, (2 2 2)
2θ 32.6, I 389, (4 0 0)
2θ 35.6, I 108, (3 3 1)
2θ 42.7, I 123, (5 1 1)
2θ 46.7, I 424, (4 4 0)
2θ 55.4, I 381, (6 2 2)
2θ 58.1, I 83, (4 4 4)
2θ 75.3, I 130, (6 6 2)
2θ 77.6, I 88, (8 4 0)
2θ 86.7, I 106, (8 4 4)

Crystal structure
Lattice parameters (Å, degrees): 11.0023 11.0023 11.0023 90.00 90.00 90.00
Space group Fd-3m (No. 227, origin choice 2)
One atom of each set of equivalent atoms:
Nd1 0.0113 0.0113 0.2387 (multiplicity 32)
Ni1 0.1250 0.1250 0.6250 (multiplicity 8)

# 8
Diffraction record for Na4MgTi2Ge2O10. The PXRD pattern is simulated, not measured: it uses a structure optimized by DFT (GGA-PBE) and CuKα.

Most intense lines, 2θ from 10° to 90°, low angle first:
2θ 15.8, I 338, (1 0 0)
2θ 20.4, I 338, (1 1 0)
2θ 25.8, I 367, (0 2 0)
2θ 26.1, I 181, (0 0 2)
2θ 30.4, I 1000, (1 0 -2)
2θ 30.9, I 486, (1 0 2)
2θ 33.1, I 204, (1 1 -2)
2θ 34.6, I 236, (2 1 0)
2θ 37.0, I 226, (0 2 2)
2θ 53.0, I 208, (0 4 0)

Crystal structure
```
data_Na4MgTi2Ge2O10
_cell_length_a 5.5934
_cell_length_b 6.9084
_cell_length_c 6.8396
_cell_angle_alpha 90.00
_cell_angle_beta 91.15
_cell_angle_gamma 90.00
_symmetry_space_group_name_H-M 'P 1 m 1'
_symmetry_Int_Tables_number 6
loop_
_symmetry_equiv_pos_as_xyz
'x,y,z'
'x,-y,z'
loop_
_atom_site_label
_atom_site_fract_x
_atom_site_fract_y
_atom_site_fract_z
Na1 0.0000 0.1778 0.0000
Na2 0.9030 0.2314 0.5077
Mg1 0.7389 0.5000 0.0797
Ti1 0.2811 0.5000 0.7613
Ti2 0.5528 0.0000 0.2170
Ge1 0.3215 0.5000 0.2631
Ge2 0.4317 0.0000 0.7262
O1 0.0987 0.5000 0.0067
O2 0.1495 0.5000 0.4825
O3 0.2343 0.2082 0.7355
O4 0.2382 0.0000 0.2048
O5 0.5866 0.5000 0.8102
O6 0.6066 0.0000 0.5149
O7 0.6422 0.0000 0.9207
O8 0.6992 0.2508 0.2162
```

# 9
Diffraction record for KAgO3. The PXRD pattern is simulated, not measured: it uses a structure optimized by DFT (GGA-PBE) and CuKα.

Most intense lines, 2θ from 10° to 90°, low angle first:
2θ 21.2, I 506, (1 0 0)
2θ 30.1, I 1000, (1 1 0)
2θ 43.2, I 387, (2 0 0)
2θ 48.6, I 215, (2 1 0)
2θ 53.5, I 375, (2 1 1)
2θ 62.7, I 221, (2 2 0)
2θ 67.0, I 96, (3 0 0)
2θ 71.1, I 156, (3 1 0)
2θ 79.1, I 70, (2 2 2)
2θ 86.9, I 187, (3 2 1)

Crystal structure
```
data_KAgO3
_cell_length_a 4.1926
_cell_length_b 4.1926
_cell_length_c 4.1926
_cell_angle_alpha 90.00
_cell_angle_beta 90.00
_cell_angle_gamma 90.00
_symmetry_space_group_name_H-M 'P m -3 m'
_symmetry_Int_Tables_number 221
_symmetry_space_group_name_Hall '-P 4 2 3'
loop_
_atom_site_label
_atom_site_fract_x
_atom_site_fract_y
_atom_site_fract_z
K1 0.0000 0.0000 0.0000
Ag1 0.5000 0.5000 0.5000
O1 0.0000 0.5000 0.5000
```

# 10
Diffraction record for NaEuS2. The PXRD pattern is simulated, not measured: it uses a structure optimized by DFT (GGA-PBE) and CuKα.

Most intense lines, 2θ from 10° to 90°, low angle first:
2θ 13.2, I 748, (0 0 3)
2θ 25.4, I 422, (1 0 1)
2θ 26.5, I 383, (0 0 6)
2θ 30.7, I 1000, (1 0 4)
2θ 33.6, I 175, (0 1 5)
2θ 40.3, I 203, (1 0 7)
2θ 44.0, I 711, (1 1 0)
2θ 46.1, I 204, (1 1 3)
2θ 54.6, I 185, (0 2 4)
2θ 80.8, I 174, (3 0 0)

Crystal structure
```
data_NaEuS2
_cell_length_a 4.1201
_cell_length_b 4.1201
_cell_length_c 20.1264
_cell_angle_alpha 90.00
_cell_angle_beta 90.00
_cell_angle_gamma 120.00
_symmetry_space_group_name_H-M 'R -3 m'
_symmetry_Int_Tables_number 166
_symmetry_space_group_name_Hall '-R 3 2"'
loop_
_atom_site_label
_atom_site_fract_x
_atom_site_fract_y
_atom_site_fract_z
Na1 0.0000 0.0000 0.0000
Eu1 0.0000 0.0000 0.5000
S1 0.0000 0.0000 0.2435
```

# 11
Diffraction record for LaCeMg6. The PXRD pattern is simulated, not measured: it uses a structure optimized by DFT (GGA-PBE) and CuKα.

Most intense lines, 2θ from 10° to 90°, low angle first:
2θ 14.9, I 610, (0 0 2)
2θ 16.4, I 522, (1 0 0)
2θ 22.3, I 546, (1 0 2)
2θ 30.1, I 214, (0 0 4)
2θ 30.7, I 382, (0 2 2)
2θ 31.5, I 217, (1 2 0)
2θ 33.2, I 350, (2 0 0)
2θ 34.5, I 502, (1 0 4)
2θ 35.0, I 1000, (1 2 2)
2θ 45.8, I 289, (2 2 2)

Crystal structure
```
data_LaCeMg6
_cell_length_a 5.4000
_cell_length_b 6.6848
_cell_length_c 11.8777
_cell_angle_alpha 90.00
_cell_angle_beta 90.00
_cell_angle_gamma 90.00
_symmetry_space_group_name_H-M 'A m m 2'
_symmetry_Int_Tables_number 38
loop_
_symmetry_equiv_pos_as_xyz
'x,y,z'
'-x,-y,z'
'-x,y,z'
'x,-y,z'
'x,y+1/2,z+1/2'
'-x,-y+1/2,z+1/2'
'-x,y+1/2,z+1/2'
'x,-y+1/2,z+1/2'
loop_
_atom_site_label
_atom_site_fract_x
_atom_site_fract_y
_atom_site_fract_z
La1 0.0000 0.0000 0.0000
Ce1 0.0000 0.0000 0.5011
Mg1 0.0000 0.2500 0.2533
Mg2 0.5000 0.0000 0.1767
Mg3 0.5000 0.0000 0.6737
Mg4 0.5000 0.2452 0.4149
```

# 12
Diffraction record for NdCu2O4. The PXRD pattern is simulated, not measured: it uses a structure optimized by DFT (GGA-PBE) and CuKα.

Most intense lines, 2θ from 10° to 90°, low angle first:
2θ 28.3, I 523, (1 1 2)
2θ 30.6, I 122, (2 0 0)
2θ 31.5, I 472, (1 0 3)
2θ 35.6, I 1000, (1 2 1)
2θ 35.8, I 235, (2 0 2)
2θ 49.2, I 211, (1 0 5)
2θ 53.0, I 243, (3 1 2)
2θ 54.9, I 168, (3 0 3)
2θ 57.6, I 199, (2 3 1)
2θ 58.5, I 283, (2 2 4)

Crystal structure
```
data_NdCu2O4
_cell_length_a 5.8456
_cell_length_b 5.8456
_cell_length_c 9.7541
_cell_angle_alpha 90.00
_cell_angle_beta 90.00
_cell_angle_gamma 90.00
_symmetry_space_group_name_H-M 'I 41/a'
_symmetry_Int_Tables_number 88
loop_
_symmetry_equiv_pos_as_xyz
'x,y,z'
'-x,-y,-z'
'-y+3/4,x+1/4,z+1/4'
'y+3/4,-x+1/4,-z+1/4'
'-x+1/2,-y,z+1/2'
'x+1/2,y,-z+1/2'
'y+3/4,-x+3/4,z+3/4'
'-y+3/4,x+3/4,-z+3/4'
'x+1/2,y+1/2,z+1/2'
'-x+1/2,-y+1/2,-z+1/2'
'-y+1/4,x+3/4,z+3/4'
'y+1/4,-x+3/4,-z+3/4'
'-x,-y+1/2,z'
'x,y+1/2,-z'
'y+1/4,-x+1/4,z+1/4'
'-y+1/4,x+1/4,-z+1/4'
loop_
_atom_site_label
_atom_site_fract_x
_atom_site_fract_y
_atom_site_fract_z
Nd1 0.0000 0.2500 0.1250
Cu1 0.0000 0.0000 0.5000
O1 0.1452 0.4678 0.3243
```

Repeat the eleventh record exactly.
Diffraction record for LaCeMg6. The PXRD pattern is simulated, not measured: it uses a structure optimized by DFT (GGA-PBE) and CuKα.

Most intense lines, 2θ from 10° to 90°, low angle first:
2θ 14.9, I 610, (0 0 2)
2θ 16.4, I 522, (1 0 0)
2θ 22.3, I 546, (1 0 2)
2θ 30.1, I 214, (0 0 4)
2θ 30.7, I 382, (0 2 2)
2θ 31.5, I 217, (1 2 0)
2θ 33.2, I 350, (2 0 0)
2θ 34.5, I 502, (1 0 4)
2θ 35.0, I 1000, (1 2 2)
2θ 45.8, I 289, (2 2 2)

Crystal structure
```
data_LaCeMg6
_cell_length_a 5.4000
_cell_length_b 6.6848
_cell_length_c 11.8777
_cell_angle_alpha 90.00
_cell_angle_beta 90.00
_cell_angle_gamma 90.00
_symmetry_space_group_name_H-M 'A m m 2'
_symmetry_Int_Tables_number 38
loop_
_symmetry_equiv_pos_as_xyz
'x,y,z'
'-x,-y,z'
'-x,y,z'
'x,-y,z'
'x,y+1/2,z+1/2'
'-x,-y+1/2,z+1/2'
'-x,y+1/2,z+1/2'
'x,-y+1/2,z+1/2'
loop_
_atom_site_label
_atom_site_fract_x
_atom_site_fract_y
_atom_site_fract_z
La1 0.0000 0.0000 0.0000
Ce1 0.0000 0.0000 0.5011
Mg1 0.0000 0.2500 0.2533
Mg2 0.5000 0.0000 0.1767
Mg3 0.5000 0.0000 0.6737
Mg4 0.5000 0.2452 0.4149
```